[1]
For K2TbAg2Te4, a crystal structure in OQMD, relaxed with GGA-PBE gives the theoretical PXRD pattern in this record (Cu Kα X-rays).

Lattice parameters (Å, degrees): 6.6552 14.0683 6.6528 90.00 90.00 90.00
Space group C222 (No. 21)
Symmetry-distinct sites (fractional):
1 K 0.2500 0.2500 0.2448
2 Tb 0.0000 0.0000 0.5000
3 Ag 0.0000 0.0000 0.0000
4 Ag 0.0000 0.5000 0.5000
5 Te 0.2415 0.3836 0.7593

The 12 most intense peaks (10 to 80 degrees two-theta), by intensity:
2θ 37.21, intensity 100, hkl 2 4 0; 2θ 26.84, intensity 85, hkl 1 3 1; 2θ 12.58, intensity 58, hkl 0 2 0; 2θ 38.26, intensity 58, hkl 2 0 2; 2θ 47.39, intensity 58, hkl 2 6 0; 2θ 19.90, intensity 44, hkl 1 1 1; 2θ 29.70, intensity 43, hkl 2 2 0; 2θ 68.47, intensity 29, hkl 4 4 2; 2θ 66.38, intensity 22, hkl 2 8 2; 2θ 55.21, intensity 21, hkl 4 0 0; 2θ 79.30, intensity 16, hkl 4 8 0; 2θ 40.43, intensity 14, hkl 2 2 2

[2]
For KRbTe2Au2, a crystal structure in OQMD, relaxed with GGA-PBE gives the theoretical PXRD pattern in this record (Cu Kα X-rays).

Lattice parameters (Å, degrees): 7.5887 7.1778 8.6088 90.00 90.00 90.00
Space group Amm2 (No. 38)
Symmetry-distinct sites (fractional):
1 K 0.0000 0.0000 0.0000
2 Rb 0.5000 0.0000 0.2988
3 Te 0.0000 0.0000 0.4448
4 Te 0.5000 0.0000 0.8640
5 Au 0.2493 0.0000 0.6551

The 12 most intense peaks (10 to 80 degrees two-theta), by intensity:
2θ 16.08, intensity 100, hkl 0 1 1; 2θ 24.81, intensity 77, hkl 0 2 0; 2θ 28.56, intensity 62, hkl 2 1 1; 2θ 40.45, intensity 61, hkl 2 2 2; 2θ 31.43, intensity 60, hkl 2 0 2; 2θ 41.41, intensity 31, hkl 2 1 3; 2θ 50.90, intensity 28, hkl 0 4 0; 2θ 61.04, intensity 18, hkl 2 4 2; 2θ 54.73, intensity 18, hkl 4 2 0; 2θ 19.91, intensity 17, hkl 1 1 1; 2θ 23.77, intensity 17, hkl 1 0 2; 2θ 46.07, intensity 17, hkl 2 3 1

Please write out number 2 again, unchanged.
For KRbTe2Au2, a crystal structure in OQMD, relaxed with GGA-PBE gives the theoretical PXRD pattern in this record (Cu Kα X-rays).

Lattice parameters (Å, degrees): 7.5887 7.1778 8.6088 90.00 90.00 90.00
Space group Amm2 (No. 38)
Symmetry-distinct sites (fractional):
1 K 0.0000 0.0000 0.0000
2 Rb 0.5000 0.0000 0.2988
3 Te 0.0000 0.0000 0.4448
4 Te 0.5000 0.0000 0.8640
5 Au 0.2493 0.0000 0.6551

The 12 most intense peaks (10 to 80 degrees two-theta), by intensity:
2θ 16.08, intensity 100, hkl 0 1 1; 2θ 24.81, intensity 77, hkl 0 2 0; 2θ 28.56, intensity 62, hkl 2 1 1; 2θ 40.45, intensity 61, hkl 2 2 2; 2θ 31.43, intensity 60, hkl 2 0 2; 2θ 41.41, intensity 31, hkl 2 1 3; 2θ 50.90, intensity 28, hkl 0 4 0; 2θ 61.04, intensity 18, hkl 2 4 2; 2θ 54.73, intensity 18, hkl 4 2 0; 2θ 19.91, intensity 17, hkl 1 1 1; 2θ 23.77, intensity 17, hkl 1 0 2; 2θ 46.07, intensity 17, hkl 2 3 1